1.
# MnSnP2O8
Theoretical PXRD pattern, Cu Kα. Input: the GGA+U geometry in the Materials Project.
Peak positions follow from Bragg's law for the DFT cell and can differ from measured ones.

Main lines, most intense first (2θ from 15° to 90°):
| d_spacing | Position (°2θ) | I (rel.) |
| --- | --- | --- |
| 5.125 | 17.30 | 100 |
| 3.622 | 24.58 | 92 |
| 3.055 | 29.23 | 83 |
| 3.647 | 24.41 | 79 |
| 2.579 | 34.79 | 60 |
| 2.555 | 35.13 | 48 |
| 4.502 | 19.72 | 45 |
| 5.249 | 16.89 | 42 |
| 4.546 | 19.53 | 31 |
| 1.823 | 50.04 | 27 |

Structural model:
```
24
Lattice="5.041 0.000 0.000 0.000 6.110 0.000 -0.127 0.000 10.251" Properties=species:S:1:pos:R:3 pbc="T T T"
Mn 0.226 1.528 2.297
Mn 4.689 4.583 7.953
Sn 2.206 1.528 7.360
Sn 2.709 4.583 2.891
P 0.531 4.583 1.043
P 2.011 4.583 6.073
P 2.904 1.528 4.177
P 4.384 1.528 9.208
O 0.596 4.583 9.805
O 0.857 1.528 8.873
O 1.280 3.391 1.786
O 1.280 5.775 1.786
O 1.301 3.360 6.796
O 1.301 5.806 6.796
O 1.407 1.528 4.027
O 1.572 4.583 4.579
O 3.343 1.528 5.671
O 3.507 4.583 6.223
O 3.614 0.305 3.455
O 3.614 2.751 3.455
O 3.634 0.336 8.464
O 3.634 2.720 8.464
O 4.058 4.583 1.377
O 4.319 1.528 0.446
```

2.
# Ti3Mn2SnP6O24
Theoretical PXRD pattern, Cu Kα. Input: the GGA+U geometry in the Materials Project.
Peak positions follow from Bragg's law for the DFT cell and can differ from measured ones.

Main lines, most intense first (2θ from 15° to 90°):
| d_spacing | Position (°2θ) | I (rel.) |
| --- | --- | --- |
| 4.366 | 20.34 | 100 |
| 3.720 | 23.92 | 94 |
| 2.753 | 32.52 | 70 |
| 2.522 | 35.60 | 42 |
| 1.860 | 48.97 | 29 |
| 1.947 | 46.64 | 28 |
| 1.651 | 55.66 | 27 |
| 1.497 | 61.99 | 20 |
| 2.834 | 31.57 | 18 |
| 3.083 | 28.96 | 14 |

Structural model:
```
36
Lattice="4.369 2.523 7.090 -4.369 2.523 7.090 0.000 -5.045 7.090" Properties=species:S:1:pos:R:3 pbc="T T T"
Ti 0.000 0.000 0.000
Ti 0.000 0.000 4.469
Ti 0.000 0.000 15.136
Mn 0.000 0.000 7.445
Mn 0.000 0.000 18.186
Sn 0.000 0.000 10.628
P -3.100 0.309 9.325
P -1.300 -2.229 12.892
P 1.282 -2.839 9.324
P -1.281 2.240 12.892
P 1.817 2.530 9.325
P 2.580 -0.011 12.892
O -3.529 1.060 8.057
O -0.890 -1.263 5.877
O -2.844 -2.396 12.802
O -3.502 1.064 10.597
O 0.846 -3.586 8.057
O -1.536 0.155 9.192
O -0.649 1.402 5.877
O -0.912 -1.522 11.580
O 0.830 -3.565 10.597
O 0.634 -1.407 9.192
O 1.539 -0.139 5.877
O -0.847 -1.458 14.133
O -0.862 1.551 11.580
O -1.545 -0.146 16.517
O 0.902 1.253 9.192
O -0.839 1.463 14.133
O 1.774 -0.029 11.580
O -0.653 3.661 12.802
O 0.899 -1.265 16.517
O 2.682 2.526 8.057
O 1.686 -0.005 14.133
O 3.497 -1.265 12.802
O 0.646 1.411 16.517
O 2.672 2.501 10.597
```

3.
# SrMnP2O7
Theoretical PXRD pattern, Cu Kα. Input: the GGA+U geometry in the Materials Project.
Peak positions follow from Bragg's law for the DFT cell and can differ from measured ones.

Main lines, most intense first (2θ from 15° to 90°):
| d_spacing | Position (°2θ) | I (rel.) |
| --- | --- | --- |
| 3.376 | 26.40 | 100 |
| 3.142 | 28.41 | 52 |
| 3.358 | 26.55 | 51 |
| 2.725 | 32.87 | 39 |
| 2.025 | 44.76 | 38 |
| 3.250 | 27.44 | 38 |
| 2.775 | 32.26 | 34 |
| 2.980 | 29.99 | 33 |
| 3.026 | 29.52 | 31 |
| 2.086 | 43.38 | 29 |

Structural model:
```
44
Lattice="5.450 0.000 0.000 0.000 8.525 0.000 -5.425 0.000 12.910" Properties=species:S:1:pos:R:3 pbc="T T T"
Sr -1.152 1.450 3.563
Sr -3.864 2.812 10.018
Sr 3.890 5.712 2.892
Sr 1.177 7.075 9.347
Mn -0.951 1.242 7.798
Mn 1.761 3.021 1.343
Mn -1.735 5.504 11.567
Mn 0.977 7.283 5.112
P 1.007 6.000 0.260
P -1.705 6.787 6.716
P -1.360 4.548 8.545
P 1.352 8.240 2.090
P -1.326 0.285 10.820
P 1.386 3.977 4.365
P 1.731 1.738 6.195
P -0.982 2.524 12.650
O -2.223 1.426 6.047
O -4.935 2.836 12.502
O -3.870 5.847 11.741
O -1.158 6.940 5.286
O -1.469 5.215 7.065
O 1.243 7.572 0.610
O -2.760 0.453 10.323
O -0.047 3.810 3.868
O -2.390 5.268 9.447
O 0.323 7.519 2.992
O 0.924 1.174 1.924
O -1.788 3.089 8.380
O 1.855 5.189 1.264
O -0.857 7.598 7.720
O 0.883 0.927 5.191
O -1.830 3.335 11.646
O 1.814 5.436 4.531
O -0.899 7.351 10.986
O -0.297 1.006 9.918
O 2.415 3.257 3.463
O 0.073 4.715 9.042
O 2.785 8.072 2.587
O -1.217 0.953 12.301
O 1.495 3.309 5.846
O 1.183 1.585 7.624
O 3.896 2.678 1.169
O 4.961 5.689 0.409
O 2.249 7.099 6.864
```

4.
# SrMnP2O8
Theoretical PXRD pattern, Cu Kα. Input: the GGA+U geometry in the Materials Project.
Peak positions follow from Bragg's law for the DFT cell and can differ from measured ones.

Main lines, most intense first (2θ from 15° to 90°):
| d_spacing | Position (°2θ) | I (rel.) |
| --- | --- | --- |
| 3.196 | 27.91 | 100 |
| 4.052 | 21.94 | 92 |
| 2.826 | 31.66 | 66 |
| 2.949 | 30.31 | 59 |
| 2.726 | 32.86 | 51 |
| 4.215 | 21.08 | 41 |
| 3.178 | 28.08 | 29 |
| 4.293 | 20.69 | 28 |
| 3.040 | 29.38 | 23 |
| 2.761 | 32.42 | 23 |

Structural model:
```
24
Lattice="5.745 0.000 0.000 -1.151 6.959 0.000 -1.833 -3.447 8.163" Properties=species:S:1:pos:R:3 pbc="T T T"
Sr 1.051 1.731 0.314
Sr 1.710 1.782 7.849
Mn 0.266 3.078 3.650
Mn 2.495 0.435 4.513
P -0.963 0.904 5.692
P 0.792 5.687 1.939
P 1.970 -2.174 6.224
P 3.724 2.608 2.471
O -1.557 3.683 3.545
O -0.663 1.802 2.426
O -0.298 6.123 0.959
O -0.544 0.414 7.058
O 0.254 1.706 5.088
O 0.748 4.099 2.127
O 0.582 -2.570 6.663
O 1.563 -0.660 3.342
O 1.198 4.172 4.821
O 2.180 6.083 1.500
O 2.014 -0.586 6.036
O 2.507 1.807 3.075
O 3.306 3.098 1.105
O 3.059 -2.610 7.204
O 3.424 1.711 5.737
O 4.319 -0.170 4.618
```

5.
# SrMn2P2O8
Theoretical PXRD pattern, Cu Kα. Input: the GGA+U geometry in the Materials Project.
Peak positions follow from Bragg's law for the DFT cell and can differ from measured ones.

Main lines, most intense first (2θ from 15° to 90°):
| d_spacing | Position (°2θ) | I (rel.) |
| --- | --- | --- |
| 2.913 | 30.69 | 100 |
| 2.898 | 30.85 | 50 |
| 2.602 | 34.46 | 37 |
| 3.989 | 22.29 | 36 |
| 2.591 | 34.62 | 33 |
| 2.884 | 31.01 | 26 |
| 4.516 | 19.66 | 21 |
| 2.612 | 34.33 | 20 |
| 1.941 | 46.81 | 20 |
| 3.168 | 28.16 | 19 |

Structural model:
```
52
Lattice="8.979 0.000 0.000 0.051 9.209 0.000 0.104 3.295 8.613" Properties=species:S:1:pos:R:3 pbc="T T T"
Sr 2.227 2.879 2.657
Sr 2.372 8.570 7.673
Sr 6.762 3.935 0.940
Sr 6.908 9.626 5.956
Mn 1.077 8.453 4.157
Mn 1.998 8.599 0.955
Mn 2.433 5.493 5.370
Mn 3.926 2.533 6.441
Mn 5.209 9.972 2.172
Mn 6.701 7.012 3.243
Mn 7.137 3.906 7.658
Mn 8.057 4.052 4.455
P 0.715 5.799 2.370
P 0.848 11.218 6.321
P 3.967 5.214 8.352
P 4.032 8.686 4.771
P 5.103 3.819 3.842
P 5.168 7.291 0.261
P 8.286 1.286 2.291
P 8.419 6.706 6.243
O 0.730 9.731 5.853
O 0.766 9.843 2.533
O 0.879 5.087 3.780
O 0.942 6.495 6.544
O 1.146 11.198 7.833
O 1.361 4.882 1.319
O 1.456 7.170 2.449
O 1.895 2.746 5.505
O 2.906 7.650 5.101
O 3.108 1.159 0.898
O 3.577 4.587 6.980
O 3.592 9.497 3.526
O 3.636 6.689 8.431
O 3.748 10.839 8.583
O 3.728 4.489 4.028
O 4.164 9.629 6.009
O 4.970 2.876 2.604
O 5.406 8.015 4.585
O 5.386 1.665 0.030
O 5.498 5.816 0.182
O 5.543 3.008 5.087
O 5.558 7.917 1.632
O 6.026 11.346 7.715
O 6.228 4.854 3.511
O 7.240 9.759 3.107
O 7.679 5.334 6.164
O 7.773 7.623 7.294
O 7.989 1.307 0.779
O 8.193 6.009 2.068
O 8.255 7.417 4.832
O 8.369 2.661 6.079
O 8.405 2.773 2.759
```

6.
# SrMnZnP2O8
Theoretical PXRD pattern, Cu Kα. Input: the GGA+U geometry in the Materials Project.
Peak positions follow from Bragg's law for the DFT cell and can differ from measured ones.

Main lines, most intense first (2θ from 15° to 90°):
| d_spacing | Position (°2θ) | I (rel.) |
| --- | --- | --- |
| 3.253 | 27.42 | 100 |
| 2.960 | 30.20 | 67 |
| 2.868 | 31.19 | 57 |
| 2.740 | 32.69 | 48 |
| 2.712 | 33.03 | 39 |
| 3.085 | 28.94 | 24 |
| 1.983 | 45.76 | 23 |
| 1.838 | 49.61 | 22 |
| 2.661 | 33.68 | 21 |
| 1.830 | 49.84 | 20 |

Structural model:
```
26
Lattice="5.535 0.000 0.000 -0.968 6.972 0.000 -1.989 -3.667 8.582" Properties=species:S:1:pos:R:3 pbc="T T T"
Sr 0.971 1.910 0.403
Sr 1.606 1.394 8.179
Mn 0.552 3.010 3.790
Mn 2.025 0.295 4.792
Zn -0.808 -0.436 3.046
Zn 3.386 3.740 5.536
P -0.965 0.781 6.020
P 0.809 5.580 1.929
P 1.769 -2.275 6.652
P 3.543 2.524 2.562
O -1.347 -0.353 4.986
O -0.742 1.555 2.593
O -0.019 6.246 0.818
O -0.752 0.277 7.440
O 0.695 4.044 1.913
O 0.267 -2.694 6.748
O 1.137 -0.883 3.297
O 0.315 1.514 5.498
O 2.262 1.791 3.084
O 1.440 4.187 5.285
O 2.311 5.999 1.834
O 1.883 -0.739 6.669
O 3.330 3.028 1.142
O 2.597 -2.941 7.764
O 3.319 1.750 5.989
O 3.925 3.658 3.596
```